Record 1
Calculated XRD peak list
Compound: Li11Ti4Mn12O32
Radiation: Cu Ka
Structure: a cell relaxed with PBE+U
Lines closer than 0.1° are merged.

Principal peaks in the range 10° ≤ 2θ ≤ 80°, sorted by position:
index  2θ/deg  Rel. int.
0 2 1  18.02  100
2 0 1  18.14  100
2 0 3  34.28  31
2 4 -1  35.28  26
4 2 -1  35.47  24
0 4 2  36.51  13
4 0 2  36.75  12
0 0 4  41.29  49
4 4 0  43.16  85
4 4 -4  61.26  49

Structural model:
```
data_Li11Ti4Mn12O32
_chemical_formula_sum 'Li22 Ti8 Mn24 O64'
_space_group_name_H-M_alt 'C 1 2 1'
_space_group_IT_number 5
_cell_length_a 11.801
_cell_length_b 11.912
_cell_length_c 8.746
_cell_angle_alpha 90.00
_cell_angle_beta 90.06
_cell_angle_gamma 90.00
loop_
_space_group_symop_operation_xyz
'x,y,z'
'-x,y,-z'
'x+1/2,y+1/2,z'
'-x+1/2,y+1/2,-z'
loop_
_atom_site_label
_atom_site_fract_x
_atom_site_fract_y
_atom_site_fract_z
Li1 0.000 0.000 0.000
Li2 0.000 0.249 0.500
Li3 0.000 0.500 0.000
Li4 0.127 0.746 0.625
Li5 0.128 0.122 0.749
Li6 0.130 0.375 0.748
Li7 0.248 0.998 0.002
Ti1 0.000 0.754 0.000
Ti2 0.000 0.995 0.500
Ti3 0.120 0.376 0.251
Mn1 0.000 0.245 0.000
Mn2 0.000 0.504 0.500
Mn3 0.123 0.625 0.247
Mn4 0.125 0.872 0.252
Mn5 0.129 0.123 0.255
Mn6 0.249 0.998 0.505
Mn7 0.250 0.247 0.004
O1 0.005 0.480 0.241
O2 0.010 0.009 0.269
O3 0.014 0.748 0.234
O4 0.016 0.248 0.262
O5 0.120 0.134 0.999
O6 0.120 0.863 0.010
O7 0.121 0.361 0.016
O8 0.121 0.635 0.014
O9 0.124 0.389 0.484
O10 0.124 0.611 0.477
O11 0.125 0.886 0.490
O12 0.126 0.105 0.508
O13 0.230 0.501 0.240
O14 0.233 0.992 0.246
O15 0.239 0.246 0.228
O16 0.248 0.252 0.786
```

Record 2
Calculated XRD peak list
Compound: MgMn2Al2O6
Radiation: Cu Ka
Structure: a cell relaxed with PBE+U
Lines closer than 0.1° are merged.

Principal peaks in the range 10° ≤ 2θ ≤ 80°, sorted by position:
index  2θ/deg  Rel. int.
1 1 0  22.37  31
1 -1 0  31.84  100
1 2 1  32.84  85
1 1 -1  33.97  59
1 0 2  35.16  72
0 1 2  35.59  70
2 1 1  36.04  46
0 2 -1  44.38  27
2 0 -1  49.99  34
2 2 3  53.08  26

Structural model:
```
data_MgMn2Al2O6
_chemical_formula_sum 'Mg1 Mn2 Al2 O6'
_space_group_name_H-M_alt 'P 1'
_space_group_IT_number 1
_cell_length_a 4.992
_cell_length_b 5.541
_cell_length_c 5.732
_cell_angle_alpha 69.57
_cell_angle_beta 67.27
_cell_angle_gamma 64.85
loop_
_space_group_symop_operation_xyz
'x,y,z'
loop_
_atom_site_label
_atom_site_fract_x
_atom_site_fract_y
_atom_site_fract_z
Mg1 0.000 0.000 0.000
Mn1 0.627 0.583 0.227
Mn2 0.841 0.720 0.652
Al1 0.295 0.146 0.430
Al2 0.419 0.287 0.873
O1 0.077 0.943 0.655
O2 0.116 0.369 0.169
O3 0.337 0.386 0.560
O4 0.446 0.934 0.951
O5 0.681 0.910 0.326
O6 0.702 0.382 0.899
```